Entry 1:
Diffraction record for Ti5Mn3. The PXRD pattern is theoretical, not measured: it uses a cell relaxed with PBE and Cu Kα.
Kinematic intensities with the Lorentz-polarization factor, no thermal factor.

```
data_Ti5Mn3
_chemical_formula_sum 'Ti10 Mn6'
_cell_length_a 7.1730
_cell_length_b 7.1730
_cell_length_c 5.2548
_cell_angle_alpha 90.00
_cell_angle_beta 90.00
_cell_angle_gamma 120.00
_symmetry_space_group_name_H-M 'P 63/m c m'
_symmetry_Int_Tables_number 193
_symmetry_space_group_name_Hall '-P 6c 2'
loop_
_atom_site_label
_atom_site_type_symbol
_atom_site_fract_x
_atom_site_fract_y
_atom_site_fract_z
Ti1 Ti 0.0000 0.2386 0.2500
Ti2 Ti 0.3333 0.6667 0.0000
Mn1 Mn 0.0000 0.3988 0.7500
```

Principal peaks in the range 10 to 90 degrees two-theta, in order of rising 2θ:
| index | two_theta | intensity |
| --- | --- | --- |
| 0 0 2 | 34.1 | 24 |
| 2 1 0 | 38.3 | 27 |
| 2 1 1 | 42.2 | 100 |
| 1 1 2 | 42.7 | 70 |
| 3 0 0 | 43.7 | 34 |
| 2 1 3 | 66.6 | 22 |

Entry 2:
Diffraction record for HoGaCo. The PXRD pattern is theoretical, not measured: it uses a cell relaxed with PBE and Cu Kα.
Kinematic intensities with the Lorentz-polarization factor, no thermal factor.

```
data_HoGaCo
_chemical_formula_sum 'Ho4 Ga4 Co4'
_cell_length_a 6.971
_cell_length_b 4.409
_cell_length_c 6.874
_cell_angle_alpha 90.00
_cell_angle_beta 90.00
_cell_angle_gamma 90.00
_symmetry_space_group_name_H-M 'P n m a'
_symmetry_Int_Tables_number 62
_symmetry_space_group_name_Hall '-P 2ac 2n'
loop_
_atom_site_label
_atom_site_type_symbol
_atom_site_fract_x
_atom_site_fract_y
_atom_site_fract_z
Ho1 Ho 0.021 0.250 0.196
Ga1 Ga 0.195 0.250 0.605
Co1 Co 0.158 0.750 0.437
```

Principal peaks in the range 10 to 90 degrees two-theta, in order of rising 2θ:
| index | two_theta | intensity |
| --- | --- | --- |
| 0 1 1 | 24.0 | 25 |
| 2 1 1 | 35.3 | 100 |
| 1 1 2 | 35.5 | 59 |
| 2 0 2 | 36.7 | 29 |
| 0 2 0 | 41.0 | 62 |
| 0 1 3 | 44.6 | 31 |

Entry 3:
Diffraction record for BaTe6Mo6. The PXRD pattern is theoretical, not measured: it uses a cell relaxed with PBE and Cu Kα.
Kinematic intensities with the Lorentz-polarization factor, no thermal factor.

```
data_BaTe6Mo6
_chemical_formula_sum 'Ba1 Te6 Mo6'
_cell_length_a 9.5903
_cell_length_b 9.5903
_cell_length_c 4.6260
_cell_angle_alpha 90.00
_cell_angle_beta 90.00
_cell_angle_gamma 120.00
_symmetry_space_group_name_H-M 'P -6'
_symmetry_Int_Tables_number 174
_symmetry_space_group_name_Hall 'P -6'
loop_
_atom_site_label
_atom_site_type_symbol
_atom_site_fract_x
_atom_site_fract_y
_atom_site_fract_z
Ba1 Ba 0.0000 0.0000 0.0000
Te1 Te 0.0386 0.4066 0.0000
Te2 Te 0.2976 0.2694 0.5000
Mo1 Mo 0.4924 0.2995 0.0000
Mo2 Mo 0.5237 0.1586 0.5000
```

Principal peaks in the range 10 to 90 degrees two-theta, in order of rising 2θ:
| index | two_theta | intensity |
| --- | --- | --- |
| 1 0 0 | 10.7 | 100 |
| 1 1 1 | 26.8 | 42 |
| 1 2 0 | 28.4 | 30 |
| 1 2 1 | 34.5 | 43 |
| 2 2 1 | 42.5 | 36 |
| 1 3 1 | 43.9 | 38 |

Entry 4:
Diffraction record for TeMoS. The PXRD pattern is theoretical, not measured: it uses a cell relaxed with PBE and Cu Kα.
Kinematic intensities with the Lorentz-polarization factor, no thermal factor.

```
data_TeMoS
_chemical_formula_sum 'Te4 Mo4 S4'
_cell_length_a 3.3655
_cell_length_b 3.3655
_cell_length_c 38.2269
_cell_angle_alpha 90.00
_cell_angle_beta 90.00
_cell_angle_gamma 120.00
_symmetry_space_group_name_H-M 'P 3 m 1'
_symmetry_Int_Tables_number 156
_symmetry_space_group_name_Hall 'P 3 -2"'
loop_
_atom_site_label
_atom_site_type_symbol
_atom_site_fract_x
_atom_site_fract_y
_atom_site_fract_z
Te1 Te 0.0000 0.0000 0.0000
Te2 Te 0.0000 0.0000 0.0989
Te3 Te 0.0000 0.0000 0.3758
Te4 Te 0.0000 0.0000 0.4746
Mo1 Mo 0.0000 0.0000 0.2373
Mo2 Mo 0.0000 0.0000 0.8616
Mo3 Mo 0.3333 0.6667 0.0495
Mo4 Mo 0.3333 0.6667 0.4252
S1 S 0.3333 0.6667 0.1978
S2 S 0.3333 0.6667 0.2768
S3 S 0.3333 0.6667 0.8220
S4 S 0.3333 0.6667 0.9011
```

Principal peaks in the range 10 to 90 degrees two-theta, in order of rising 2θ:
| index | two_theta | intensity |
| --- | --- | --- |
| 0 0 5 | 11.6 | 80 |
| 0 0 8 | 18.6 | 18 |
| 1 0 0 | 30.7 | 60 |
| 1 0 8 | 36.1 | 100 |
| 1 0 13 | 43.7 | 46 |
| 1 1 0 | 54.5 | 33 |

Entry 5:
Diffraction record for Sr3MgTi2O7. The PXRD pattern is theoretical, not measured: it uses a cell relaxed with PBE and Cu Kα.
Kinematic intensities with the Lorentz-polarization factor, no thermal factor.

```
data_Sr3MgTi2O7
_chemical_formula_sum 'Sr6 Mg2 Ti4 O14'
_cell_length_a 3.887
_cell_length_b 5.123
_cell_length_c 19.951
_cell_angle_alpha 90.00
_cell_angle_beta 90.00
_cell_angle_gamma 90.00
_symmetry_space_group_name_H-M 'I m m m'
_symmetry_Int_Tables_number 71
_symmetry_space_group_name_Hall '-I 2 2'
loop_
_atom_site_label
_atom_site_type_symbol
_atom_site_fract_x
_atom_site_fract_y
_atom_site_fract_z
Sr1 Sr 0.000 0.000 0.000
Sr2 Sr 0.000 0.000 0.178
Mg1 Mg 0.000 0.500 0.000
Ti1 Ti 0.000 0.000 0.389
O1 O 0.000 0.000 0.298
O2 O 0.000 0.000 0.500
O3 O 0.000 0.500 0.097
O4 O 0.000 0.500 0.404
```

Principal peaks in the range 10 to 90 degrees two-theta, in order of rising 2θ:
| index | two_theta | intensity |
| --- | --- | --- |
| 0 1 5 | 28.3 | 57 |
| 1 1 0 | 28.8 | 100 |
| 1 0 5 | 32.1 | 62 |
| 0 2 0 | 35.0 | 74 |
| 1 1 6 | 39.8 | 54 |
| 1 2 5 | 48.3 | 39 |

Entry 6:
Diffraction record for CdS2O7. The PXRD pattern is theoretical, not measured: it uses a cell relaxed with PBE and Cu Kα.
Kinematic intensities with the Lorentz-polarization factor, no thermal factor.

```
data_CdS2O7
_chemical_formula_sum 'Cd4 S8 O28'
_cell_length_a 5.326
_cell_length_b 13.263
_cell_length_c 9.950
_cell_angle_alpha 90.00
_cell_angle_beta 121.17
_cell_angle_gamma 90.00
_symmetry_space_group_name_H-M 'P 1 21/c 1'
_symmetry_Int_Tables_number 14
_symmetry_space_group_name_Hall '-P 2ybc'
loop_
_atom_site_label
_atom_site_type_symbol
_atom_site_fract_x
_atom_site_fract_y
_atom_site_fract_z
Cd1 Cd 0.125 0.150 0.328
S1 S 0.285 0.686 0.586
S2 S 0.373 0.026 0.692
O1 O 0.025 0.675 0.431
O2 O 0.184 0.510 0.248
O3 O 0.235 0.744 0.695
O4 O 0.250 0.111 0.584
O5 O 0.330 0.568 0.649
O6 O 0.447 0.213 0.911
O7 O 0.491 0.554 0.141
```

Principal peaks in the range 10 to 90 degrees two-theta, in order of rising 2θ:
| index | two_theta | intensity |
| --- | --- | --- |
| 0 2 1 | 16.9 | 24 |
| 0 0 2 | 20.9 | 15 |
| 1 2 -1 | 21.4 | 100 |
| 0 1 2 | 21.9 | 48 |
| 1 3 1 | 33.5 | 38 |
| 2 0 -2 | 33.7 | 18 |

Please write out number 1 again, unchanged.
Diffraction record for Ti5Mn3. The PXRD pattern is theoretical, not measured: it uses a cell relaxed with PBE and Cu Kα.
Kinematic intensities with the Lorentz-polarization factor, no thermal factor.

```
data_Ti5Mn3
_chemical_formula_sum 'Ti10 Mn6'
_cell_length_a 7.1730
_cell_length_b 7.1730
_cell_length_c 5.2548
_cell_angle_alpha 90.00
_cell_angle_beta 90.00
_cell_angle_gamma 120.00
_symmetry_space_group_name_H-M 'P 63/m c m'
_symmetry_Int_Tables_number 193
_symmetry_space_group_name_Hall '-P 6c 2'
loop_
_atom_site_label
_atom_site_type_symbol
_atom_site_fract_x
_atom_site_fract_y
_atom_site_fract_z
Ti1 Ti 0.0000 0.2386 0.2500
Ti2 Ti 0.3333 0.6667 0.0000
Mn1 Mn 0.0000 0.3988 0.7500
```

Principal peaks in the range 10 to 90 degrees two-theta, in order of rising 2θ:
| index | two_theta | intensity |
| --- | --- | --- |
| 0 0 2 | 34.1 | 24 |
| 2 1 0 | 38.3 | 27 |
| 2 1 1 | 42.2 | 100 |
| 1 1 2 | 42.7 | 70 |
| 3 0 0 | 43.7 | 34 |
| 2 1 3 | 66.6 | 22 |

Q: Number 4 is which compound?
A: TeMoS

Copy entry 4 word for word.
Diffraction record for TeMoS. The PXRD pattern is theoretical, not measured: it uses a cell relaxed with PBE and Cu Kα.
Kinematic intensities with the Lorentz-polarization factor, no thermal factor.

```
data_TeMoS
_chemical_formula_sum 'Te4 Mo4 S4'
_cell_length_a 3.3655
_cell_length_b 3.3655
_cell_length_c 38.2269
_cell_angle_alpha 90.00
_cell_angle_beta 90.00
_cell_angle_gamma 120.00
_symmetry_space_group_name_H-M 'P 3 m 1'
_symmetry_Int_Tables_number 156
_symmetry_space_group_name_Hall 'P 3 -2"'
loop_
_atom_site_label
_atom_site_type_symbol
_atom_site_fract_x
_atom_site_fract_y
_atom_site_fract_z
Te1 Te 0.0000 0.0000 0.0000
Te2 Te 0.0000 0.0000 0.0989
Te3 Te 0.0000 0.0000 0.3758
Te4 Te 0.0000 0.0000 0.4746
Mo1 Mo 0.0000 0.0000 0.2373
Mo2 Mo 0.0000 0.0000 0.8616
Mo3 Mo 0.3333 0.6667 0.0495
Mo4 Mo 0.3333 0.6667 0.4252
S1 S 0.3333 0.6667 0.1978
S2 S 0.3333 0.6667 0.2768
S3 S 0.3333 0.6667 0.8220
S4 S 0.3333 0.6667 0.9011
```

Principal peaks in the range 10 to 90 degrees two-theta, in order of rising 2θ:
| index | two_theta | intensity |
| --- | --- | --- |
| 0 0 5 | 11.6 | 80 |
| 0 0 8 | 18.6 | 18 |
| 1 0 0 | 30.7 | 60 |
| 1 0 8 | 36.1 | 100 |
| 1 0 13 | 43.7 | 46 |
| 1 1 0 | 54.5 | 33 |